For Cd5Si2N6, a cell relaxed with GGA-PBE gives the calculated powder X-ray diffraction pattern in this record (Cu Kα (λ = 1.5418 Å)).

Top 10 peaks for 10° ≤ 2θ ≤ 80°, by angle:
d (Å), Position (°2θ), Rel. int.
3.425, 26.02, 27
2.928, 30.53, 34
2.853, 31.35, 14
2.789, 32.09, 13
2.744, 32.63, 100
2.602, 34.47, 15
2.422, 37.12, 22
2.362, 38.10, 16
1.975, 45.96, 11
1.589, 58.04, 11

Crystal structure
a = 5.5984 Å, b = 5.5984 Å, c = 13.7037 Å
α = 91.10°, β = 91.10°, γ = 64.74°
Sites, in units of the cell vectors:
Cd: 0.1249 0.8751 0.7500
Cd: 0.1798 0.6870 0.5187
Cd: 0.2698 0.4425 0.2999
Cd: 0.3130 0.8202 0.9813
Cd: 0.4425 0.2698 0.7999
Cd: 0.5575 0.7302 0.2001
Cd: 0.6870 0.1798 0.0187
Cd: 0.7302 0.5575 0.7001
Cd: 0.8202 0.3130 0.4813
Cd: 0.8751 0.1249 0.2500
Si: 0.1037 0.4733 0.0848
Si: 0.4733 0.1037 0.5848
Si: 0.5267 0.8963 0.4152
Si: 0.8963 0.5267 0.9152
N: 0.0090 0.5945 0.8058
N: 0.1311 0.2551 0.9844
N: 0.2551 0.1311 0.4844
N: 0.3904 0.5158 0.1083
N: 0.4055 0.9910 0.6942
N: 0.4842 0.6096 0.3917
N: 0.5158 0.3904 0.6083
N: 0.5945 0.0090 0.3058
N: 0.6096 0.4842 0.8917
N: 0.7449 0.8689 0.5156
N: 0.8689 0.7449 0.0156
N: 0.9910 0.4055 0.1942